No. 1
The following is a simulated powder XRD pattern of V2Zn4O9. It was derived from a crystal structure in Alexandria, relaxed with GGA+U, using Cu Kα X-rays.

Most intense lines, 10° ≤ 2θ ≤ 80°, by intensity:
d_spacing	I (rel.)
3.103	100
2.886	54
3.152	37
2.548	36
1.683	28
1.616	12
3.234	12
2.458	11
1.576	11
2.634	11
2.277	10
2.479	10

Unit cell a=9.821 b=8.289 c=10.524 alpha=90.00 beta=117.16 gamma=90.00
Fractional positions:
V 0.032 0.000 0.030
V 0.141 0.490 0.478
V 0.353 0.499 0.996
V 0.459 0.974 0.443
V 0.541 0.474 0.557
V 0.647 0.999 0.004
V 0.859 0.990 0.522
V 0.968 0.500 0.970
Zn 0.060 0.647 0.717
Zn 0.104 0.222 0.791
Zn 0.215 0.973 0.611
Zn 0.239 0.296 0.262
Zn 0.247 0.671 0.259
Zn 0.308 0.927 0.917
Zn 0.435 0.288 0.773
Zn 0.437 0.674 0.765
Zn 0.563 0.174 0.235
Zn 0.565 0.788 0.227
Zn 0.692 0.427 0.083
Zn 0.753 0.171 0.741
Zn 0.761 0.796 0.738
Zn 0.785 0.473 0.389
Zn 0.896 0.722 0.209
Zn 0.940 0.147 0.283
O 0.001 0.505 0.538
O 0.055 0.149 0.157
O 0.086 0.821 0.118
O 0.103 0.656 0.358
O 0.114 0.309 0.389
O 0.153 0.048 0.952
O 0.156 0.483 0.114
O 0.177 0.448 0.849
O 0.242 0.787 0.745
O 0.280 0.134 0.765
O 0.314 0.487 0.635
O 0.318 0.962 0.493
O 0.364 0.697 0.054
O 0.366 0.481 0.399
O 0.422 0.148 0.332
O 0.426 0.357 0.127
O 0.440 0.800 0.337
O 0.487 0.491 0.920
O 0.513 0.991 0.080
O 0.560 0.300 0.663
O 0.574 0.857 0.873
O 0.578 0.648 0.668
O 0.634 0.981 0.601
O 0.636 0.197 0.946
O 0.682 0.462 0.507
O 0.686 0.987 0.365
O 0.720 0.634 0.235
O 0.758 0.287 0.255
O 0.823 0.948 0.151
O 0.844 0.983 0.886
O 0.847 0.548 0.048
O 0.886 0.809 0.611
O 0.897 0.156 0.642
O 0.914 0.321 0.882
O 0.945 0.649 0.843
O 0.999 0.005 0.462

=====

No. 2
The following is a simulated powder XRD pattern of V3Zn2O8. It was derived from a crystal structure in Alexandria, relaxed with GGA+U, using Cu Kα X-rays.

Most intense lines, 10° ≤ 2θ ≤ 80°, by intensity:
d_spacing	I (rel.)
2.549	100
2.688	70
3.150	59
1.677	55
3.876	47
2.860	46
3.355	46
1.866	38
1.506	38
2.366	35
2.445	35
1.445	34

Unit cell a=5.817 b=5.817 c=4.997 alpha=100.11 beta=100.11 gamma=61.79
Fractional positions:
V 0.000 0.000 0.000
V 0.261 0.739 0.500
V 0.739 0.261 0.500
Zn 0.292 0.292 0.909
Zn 0.708 0.708 0.091
O 0.100 0.100 0.356
O 0.107 0.654 0.144
O 0.346 0.893 0.856
O 0.397 0.397 0.613
O 0.603 0.603 0.387
O 0.654 0.107 0.144
O 0.893 0.346 0.856
O 0.900 0.900 0.644

=====

No. 3
The following is a simulated powder XRD pattern of VZnO2. It was derived from a crystal structure in Alexandria, relaxed with GGA+U, using Cu Kα X-rays.

Most intense lines, 10° ≤ 2θ ≤ 80°, by intensity:
d_spacing	I (rel.)
7.520	100
2.318	70
2.623	66
2.980	64
2.507	57
2.541	57
2.426	51
2.522	48
2.731	44
1.472	43
3.076	38
3.644	34

Unit cell a=7.725 b=7.725 c=11.244 alpha=124.09 beta=124.09 gamma=22.32
Fractional positions:
V 0.181 0.181 0.346
V 0.228 0.383 0.937
V 0.617 0.772 0.063
V 0.819 0.819 0.654
Zn 0.055 0.738 0.403
Zn 0.262 0.945 0.597
Zn 0.624 0.300 0.283
Zn 0.700 0.376 0.717
O 0.076 0.246 0.916
O 0.140 0.282 0.187
O 0.212 0.194 0.548
O 0.429 0.421 0.737
O 0.579 0.571 0.263
O 0.718 0.860 0.813
O 0.754 0.924 0.084
O 0.806 0.788 0.452

=====

No. 4
The following is a simulated powder XRD pattern of V3ZnO9. It was derived from a crystal structure in Alexandria, relaxed with GGA+U, using Cu Kα X-rays.

Most intense lines, 10° ≤ 2θ ≤ 80°, by intensity:
d_spacing	I (rel.)
3.929	100
3.339	62
3.241	53
2.544	40
1.697	20
1.558	19
2.784	17
1.965	16
1.444	14
2.500	13
1.693	11
5.242	10

Unit cell a=6.800 b=6.800 c=7.859 alpha=90.00 beta=90.00 gamma=100.86
Fractional positions:
V 0.193 0.795 0.969
V 0.205 0.807 0.531
V 0.321 0.321 0.500
V 0.679 0.679 0.000
V 0.795 0.193 0.031
V 0.807 0.205 0.469
Zn 0.316 0.316 0.000
Zn 0.684 0.684 0.500
O 0.018 0.283 0.944
O 0.053 0.305 0.543
O 0.157 0.843 0.750
O 0.283 0.018 0.056
O 0.305 0.053 0.457
O 0.341 0.383 0.278
O 0.359 0.631 0.987
O 0.369 0.641 0.513
O 0.383 0.341 0.722
O 0.617 0.659 0.222
O 0.631 0.359 0.013
O 0.641 0.369 0.487
O 0.659 0.617 0.778
O 0.695 0.947 0.957
O 0.717 0.982 0.556
O 0.843 0.157 0.250
O 0.947 0.695 0.043
O 0.982 0.717 0.444

=====

No. 5
The following is a simulated powder XRD pattern of V3Zn2O8. It was derived from a crystal structure in Alexandria, relaxed with GGA+U, using Cu Kα X-rays.

Most intense lines, 10° ≤ 2θ ≤ 80°, by intensity:
d_spacing	I (rel.)
2.517	100
2.703	83
3.493	75
1.531	61
2.478	59
1.481	50
1.656	49
2.566	27
2.963	27
1.610	23
4.769	21
1.747	19

Unit cell a=5.925 b=5.925 c=9.539 alpha=90.00 beta=90.00 gamma=120.00
Fractional positions:
V 0.162 0.837 0.000
V 0.163 0.325 0.000
V 0.325 0.163 0.500
V 0.675 0.838 0.000
V 0.837 0.162 0.500
V 0.838 0.675 0.500
Zn 0.333 0.667 0.285
Zn 0.333 0.667 0.680
Zn 0.667 0.333 0.180
Zn 0.667 0.333 0.785
O 0.000 0.000 0.109
O 0.000 0.000 0.609
O 0.036 0.529 0.120
O 0.147 0.324 0.401
O 0.177 0.853 0.401
O 0.324 0.147 0.901
O 0.333 0.667 0.889
O 0.471 0.506 0.120
O 0.494 0.964 0.120
O 0.506 0.471 0.620
O 0.529 0.036 0.620
O 0.667 0.333 0.389
O 0.676 0.823 0.401
O 0.823 0.676 0.901
O 0.853 0.177 0.901
O 0.964 0.494 0.620

=====

No. 6
The following is a simulated powder XRD pattern of Zr15VO32. It was derived from a crystal structure in Alexandria, relaxed with GGA+U, using Cu Kα X-rays.

Most intense lines, 10° ≤ 2θ ≤ 80°, by intensity:
d_spacing	I (rel.)
3.203	100
2.874	35
2.859	34
2.661	21
3.740	15
2.562	15
1.826	13
1.710	12
1.839	12
1.830	11
2.628	11
1.679	10

Unit cell a=5.255 b=10.391 c=10.792 alpha=99.51 beta=90.16 gamma=90.25
Fractional positions:
Zr 0.000 0.000 0.000
Zr 0.000 0.000 0.499
Zr 0.000 0.498 0.003
Zr 0.409 0.492 0.251
Zr 0.410 0.500 0.751
Zr 0.415 0.002 0.249
Zr 0.415 0.999 0.749
Zr 0.497 0.774 0.458
Zr 0.498 0.279 0.461
Zr 0.500 0.276 0.964
Zr 0.500 0.776 0.960
Zr 0.910 0.773 0.211
Zr 0.913 0.276 0.711
Zr 0.913 0.775 0.709
Zr 0.993 0.497 0.497
V 0.907 0.265 0.204
O 0.126 0.604 0.680
O 0.131 0.117 0.182
O 0.131 0.605 0.181
O 0.133 0.105 0.679
O 0.180 0.356 0.339
O 0.198 0.864 0.342
O 0.199 0.362 0.844
O 0.201 0.862 0.843
O 0.212 0.363 0.593
O 0.212 0.862 0.592
O 0.215 0.361 0.094
O 0.215 0.869 0.095
O 0.281 0.601 0.430
O 0.282 0.605 0.931
O 0.287 0.104 0.931
O 0.290 0.105 0.427
O 0.625 0.669 0.279
O 0.626 0.671 0.780
O 0.635 0.169 0.783
O 0.645 0.177 0.275
O 0.698 0.412 0.619
O 0.699 0.415 0.370
O 0.699 0.913 0.616
O 0.701 0.913 0.117
O 0.710 0.404 0.123
O 0.710 0.914 0.365
O 0.711 0.413 0.870
O 0.715 0.913 0.867
O 0.782 0.670 0.529
O 0.783 0.171 0.529
O 0.783 0.670 0.030
O 0.789 0.172 0.036

=====

No. 7
The following is a simulated powder XRD pattern of Zr11VO24. It was derived from a crystal structure in Alexandria, relaxed with GGA+U, using Cu Kα X-rays.

Most intense lines, 10° ≤ 2θ ≤ 80°, by intensity:
d_spacing	I (rel.)
3.200	100
3.189	97
2.895	73
2.858	66
2.675	40
2.568	28
1.844	26
1.823	26
1.722	24
1.878	22
1.820	21
2.614	21

Unit cell a=6.895 b=7.332 c=9.636 alpha=93.49 beta=91.56 gamma=115.95
Fractional positions:
Zr 0.000 0.000 0.000
Zr 0.020 0.543 0.957
Zr 0.130 0.775 0.646
Zr 0.162 0.314 0.597
Zr 0.320 0.663 0.334
Zr 0.358 0.205 0.291
Zr 0.466 0.430 0.974
Zr 0.654 0.327 0.670
Zr 0.686 0.871 0.625
Zr 0.794 0.107 0.305
Zr 0.831 0.650 0.265
V 0.529 0.977 0.932
O 0.022 0.473 0.722
O 0.029 0.989 0.223
O 0.041 0.012 0.625
O 0.062 0.710 0.429
O 0.092 0.819 0.868
O 0.094 0.609 0.169
O 0.121 0.311 0.976
O 0.123 0.326 0.374
O 0.361 0.655 0.559
O 0.362 0.132 0.045
O 0.389 0.709 0.952
O 0.397 0.381 0.762
O 0.422 0.266 0.504
O 0.444 0.967 0.306
O 0.457 0.992 0.719
O 0.458 0.498 0.208
O 0.689 0.810 0.388
O 0.698 0.319 0.894
O 0.711 0.345 0.290
O 0.732 0.049 0.090
O 0.763 0.954 0.839
O 0.771 0.632 0.640
O 0.787 0.660 0.042
O 0.790 0.165 0.541

=====

No. 8
The following is a simulated powder XRD pattern of Zr11VO24. It was derived from a crystal structure in Alexandria, relaxed with GGA+U, using Cu Kα X-rays.

Most intense lines, 10° ≤ 2θ ≤ 80°, by intensity:
d_spacing	I (rel.)
3.014	100
2.979	96
1.845	69
1.560	26
2.567	26
1.545	25
1.831	20
1.800	18
2.654	18
1.593	13
1.588	13
1.283	10

Unit cell a=7.323 b=10.797 c=5.307 alpha=90.00 beta=90.00 gamma=90.00
Fractional positions:
Zr 0.000 0.000 0.000
Zr 0.000 0.335 0.041
Zr 0.000 0.665 0.041
Zr 0.247 0.167 0.522
Zr 0.247 0.833 0.522
Zr 0.256 0.500 0.536
Zr 0.500 0.325 0.027
Zr 0.500 0.675 0.027
Zr 0.744 0.500 0.536
Zr 0.753 0.167 0.522
Zr 0.753 0.833 0.522
V 0.500 0.000 0.064
O 0.000 0.160 0.317
O 0.000 0.177 0.822
O 0.000 0.500 0.349
O 0.000 0.500 0.838
O 0.000 0.823 0.822
O 0.000 0.840 0.317
O 0.208 0.000 0.694
O 0.248 0.333 0.229
O 0.248 0.667 0.229
O 0.264 0.000 0.195
O 0.268 0.331 0.729
O 0.268 0.669 0.729
O 0.500 0.145 0.848
O 0.500 0.169 0.340
O 0.500 0.500 0.340
O 0.500 0.500 0.848
O 0.500 0.831 0.340
O 0.500 0.855 0.848
O 0.732 0.331 0.729
O 0.732 0.669 0.729
O 0.736 0.000 0.195
O 0.752 0.333 0.229
O 0.752 0.667 0.229
O 0.792 0.000 0.694